Record 1
Computed X-ray powder pattern of Ti3TeC for Cu Kα (weighted mean of Kα1 and Kα2), from a structure optimized by DFT (PBE).
Peak positions follow from Bragg's law for the DFT cell and can differ from measured ones.

Cell and atoms:
abc: 3.357 11.118 8.297
angles: 90.00 90.00 90.00
Space group Cmcm (No. 63)
One atom of each set of equivalent atoms:
Ti 0.000 0.041 0.250 (multiplicity 4)
Ti 0.000 0.382 0.046 (multiplicity 8)
Te 0.000 0.255 0.750 (multiplicity 4)
C 0.000 0.000 0.000 (multiplicity 4)

Top 6 peaks for 5° ≤ 2θ ≤ 70°, by angle:
- d 3.325, I 40, hkl 0 2 2
- d 2.997, I 52, hkl 1 1 1
- d 2.541, I 31, hkl 1 1 2
- d 2.383, I 100, hkl 1 3 1
- d 2.309, I 66, hkl 0 4 2
- d 2.096, I 55, hkl 1 1 3

Record 2
Computed X-ray powder pattern of Be4C23 for Cu Kα (weighted mean of Kα1 and Kα2), from a structure optimized by DFT (PBE).
Peak positions follow from Bragg's law for the DFT cell and can differ from measured ones.

Cell and atoms:
abc: 6.873 6.873 6.873
angles: 90.00 90.00 90.00
Space group Pm-3n (No. 223)
One atom of each set of equivalent atoms:
Be 0.000 0.000 0.000 (multiplicity 2)
Be 0.000 0.250 0.500 (multiplicity 6)
C 0.000 0.304 0.122 (multiplicity 24)
C 0.000 0.500 0.250 (multiplicity 6)
C 0.184 0.184 0.184 (multiplicity 16)

Top 6 peaks for 5° ≤ 2θ ≤ 70°, by angle:
- d 3.074, I 62, hkl 2 1 0
- d 2.806, I 29, hkl 2 1 1
- d 1.984, I 32, hkl 2 2 2
- d 1.906, I 39, hkl 3 2 0
- d 1.837, I 100, hkl 3 2 1
- d 1.667, I 22, hkl 4 1 0

Record 3
Computed X-ray powder pattern of Tc4Ir3 for Cu Kα (weighted mean of Kα1 and Kα2), from a structure optimized by DFT (PBE).
Peak positions follow from Bragg's law for the DFT cell and can differ from measured ones.

Cell and atoms:
abc: 5.0767 5.0767 4.7442
angles: 90.00 90.00 120.00
Space group P6/mmm (No. 191)
One atom of each set of equivalent atoms:
Tc 0.0000 0.0000 0.2384 (multiplicity 2)
Tc 0.3333 0.6667 0.0000 (multiplicity 2)
Ir 0.0000 0.5000 0.5000 (multiplicity 3)

Top 6 peaks for 5° ≤ 2θ ≤ 70°, by angle:
- d 4.744, I 45, hkl 0 0 1
- d 2.238, I 54, hkl 1 1 1
- d 2.198, I 70, hkl 2 0 0
- d 2.088, I 64, hkl 1 0 2
- d 1.995, I 100, hkl 2 0 1
- d 1.361, I 31, hkl 2 1 2